Theoretical X-ray powder pattern
Compound: BaSr3N2
Radiation: Cu Kα (weighted mean of Kα1 and Kα2)
Structure: a GGA-PBE-relaxed structure

Crystal structure
Cell: 8.149 8.149 13.533 Å, 114.32 114.32 27.72°
Positions (direct):
Ba 0.143 0.143 0.239
Ba 0.857 0.857 0.761
Sr 0.154 0.154 0.744
Sr 0.345 0.345 0.007
Sr 0.346 0.346 0.504
Sr 0.654 0.654 0.496
Sr 0.655 0.655 0.993
Sr 0.846 0.846 0.256
N 0.248 0.248 0.623
N 0.251 0.251 0.124
N 0.749 0.749 0.876
N 0.752 0.752 0.377

Main lines, by angle (10° ≤ 2θ ≤ 90°):
12.4°, I 30
24.9°, I 19
26.4°, I 17
29.2°, I 100
36.5°, I 26
36.6°, I 13
46.5°, I 23
46.6°, I 12
53.4°, I 9
75.6°, I 9



Theoretical X-ray powder pattern
Compound: Cu2TeO2
Radiation: Cu Kα (weighted mean of Kα1 and Kα2)
Structure: a GGA-PBE-relaxed structure

Crystal structure
Cell: 6.259 6.259 6.259 Å, 129.70 129.70 73.89°
Positions (direct):
Cu 0.224 0.000 0.224
Cu 0.750 0.026 0.276
Cu 0.750 0.474 0.724
Cu 0.776 0.000 0.776
Te 0.065 0.565 0.500
Te 0.315 0.315 0.000
O 0.454 0.200 0.746
O 0.454 0.708 0.254
O 0.458 0.704 0.754
O 0.950 0.704 0.246

Main lines, by angle (10° ≤ 2θ ≤ 90°):
29.7°, I 52
31.7°, I 77
33.7°, I 26
35.9°, I 20
38.3°, I 26
38.9°, I 100
46.9°, I 29
57.8°, I 25
61.7°, I 23
63.8°, I 20



Theoretical X-ray powder pattern
Compound: Pm3ZnPt2
Radiation: Cu Kα (weighted mean of Kα1 and Kα2)
Structure: a GGA-PBE-relaxed structure

Crystal structure
Cell: 3.652 3.652 10.558 Å, 90.00 90.00 90.00°
Positions (direct):
Pm 0.000 0.000 0.000
Pm 0.000 0.000 0.327
Pm 0.000 0.000 0.673
Zn 0.500 0.500 0.500
Pt 0.500 0.500 0.167
Pt 0.500 0.500 0.833

Main lines, by angle (10° ≤ 2θ ≤ 90°):
34.7°, I 53
35.4°, I 100
49.9°, I 21
52.0°, I 8
62.7°, I 38
64.0°, I 18
75.0°, I 11
83.8°, I 9
84.2°, I 9
87.3°, I 8



Theoretical X-ray powder pattern
Compound: MgAl4Ag
Radiation: Cu Kα (weighted mean of Kα1 and Kα2)
Structure: a GGA-PBE-relaxed structure

Crystal structure
Cell: 2.887 4.105 8.938 Å, 90.00 90.00 90.00°
Positions (direct):
Mg 0.000 0.000 0.000
Al 0.000 0.000 0.338
Al 0.000 0.000 0.662
Al 0.500 0.500 0.177
Al 0.500 0.500 0.823
Ag 0.500 0.500 0.500

Main lines, by angle (10° ≤ 2θ ≤ 90°):
19.9°, I 26
21.6°, I 25
23.9°, I 39
37.3°, I 100
38.1°, I 95
39.5°, I 24
43.7°, I 63
44.1°, I 31
63.8°, I 39
75.5°, I 23



Theoretical X-ray powder pattern
Compound: Ba2OsAu
Radiation: Cu Kα (weighted mean of Kα1 and Kα2)
Structure: a GGA-PBE-relaxed structure

Crystal structure
Cell: 5.528 5.528 5.528 Å, 60.00 60.00 60.00°
Positions (direct):
Ba 0.250 0.250 0.250
Ba 0.750 0.750 0.750
Os 0.000 0.000 0.000
Au 0.500 0.500 0.500

Main lines, by angle (10° ≤ 2θ ≤ 90°):
22.8°, I 4
32.4°, I 100
40.0°, I 1
46.5°, I 18
52.3°, I 2
57.8°, I 39
67.8°, I 12
72.6°, I 1
77.2°, I 17
86.2°, I 4



Theoretical X-ray powder pattern
Compound: Cs2NiAuBr6
Radiation: Cu Kα (weighted mean of Kα1 and Kα2)
Structure: a GGA-PBE-relaxed structure

Crystal structure
Cell: 7.856 7.856 7.856 Å, 123.32 123.32 84.34°
Positions (direct):
Cs 0.250 0.750 0.500
Cs 0.750 0.250 0.500
Ni 0.000 0.000 0.000
Au 0.500 0.500 0.000
Br 0.204 0.204 0.000
Br 0.253 0.253 0.506
Br 0.253 0.747 0.000
Br 0.747 0.253 0.000
Br 0.747 0.747 0.494
Br 0.796 0.796 0.000

Main lines, by angle (10° ≤ 2θ ≤ 90°):
22.8°, I 80
23.9°, I 31
25.9°, I 27
28.4°, I 67
30.7°, I 54
34.0°, I 100
41.3°, I 34
46.5°, I 67
48.8°, I 35
58.8°, I 33



Theoretical X-ray powder pattern
Compound: Y3Er7
Radiation: Cu Kα (weighted mean of Kα1 and Kα2)
Structure: a GGA-PBE-relaxed structure

Crystal structure
Cell: 10.805 10.805 6.287 Å, 90.00 90.00 120.00°
Positions (direct):
Y 0.210 0.421 0.000
Y 0.210 0.790 0.000
Y 0.421 0.210 0.500
Y 0.579 0.790 0.000
Y 0.790 0.210 0.500
Y 0.790 0.579 0.500
Er 0.058 0.529 0.639
Er 0.119 0.238 0.488
Er 0.119 0.881 0.488
Er 0.238 0.119 0.988
Er 0.333 0.667 0.364
Er 0.471 0.529 0.639
Er 0.471 0.942 0.639
Er 0.529 0.058 0.139
Er 0.529 0.471 0.139
Er 0.667 0.333 0.864
Er 0.762 0.881 0.488
Er 0.881 0.119 0.988
Er 0.881 0.762 0.988
Er 0.942 0.471 0.139

Main lines, by angle (10° ≤ 2θ ≤ 90°):
25.2°, I 14
28.4°, I 15
28.6°, I 15
29.0°, I 42
32.0°, I 100
33.2°, I 25
34.4°, I 40
40.8°, I 16
50.7°, I 31
61.9°, I 15



Theoretical X-ray powder pattern
Compound: CaGa7Pd5
Radiation: Cu Kα (weighted mean of Kα1 and Kα2)
Structure: a GGA-PBE-relaxed structure

Crystal structure
Cell: 6.902 6.902 6.902 Å, 132.81 95.94 102.53°
Positions (direct):
Ca 0.000 0.000 0.000
Ga 0.207 0.513 0.693
Ga 0.330 0.985 0.344
Ga 0.345 0.345 0.000
Ga 0.636 0.636 0.000
Ga 0.641 0.985 0.656
Ga 0.759 0.259 0.500
Ga 0.820 0.513 0.307
Pd 0.232 0.732 0.500
Pd 0.524 0.005 0.021
Pd 0.524 0.503 0.519
Pd 0.984 0.005 0.481
Pd 0.984 0.503 0.979

Main lines, by angle (10° ≤ 2θ ≤ 90°):
20.6°, I 32
37.9°, I 50
38.7°, I 37
39.0°, I 27
39.5°, I 47
41.8°, I 31
43.5°, I 100
44.5°, I 33
46.2°, I 22
46.4°, I 17